UVIrO6: simulated powder XRD pattern (Cu Kα, 1.54184 Å), based on the GGA+U geometry in Alexandria.

Structure:
```
data_UVIrO6
_space_group_name_H-M_alt 'P -3 1 c'
_space_group_IT_number 163
_space_group_name_Hall '-P 3 2c'
_cell_length_a 5.3165
_cell_length_b 5.3165
_cell_length_c 8.6901
_cell_angle_alpha 90.00
_cell_angle_beta 90.00
_cell_angle_gamma 120.00
loop_
_atom_site_label
_atom_site_type_symbol
_atom_site_fract_x
_atom_site_fract_y
_atom_site_fract_z
_atom_site_occupancy
U1 U 0.3333 0.6667 0.2500 1
V1 V 0.3333 0.6667 0.7500 1
Ir1 Ir 0.0000 0.0000 0.0000 1
O1 O 0.0096 0.3349 0.6263 1
```

Main lines, sorted by position (2θ = 5–70°):
h k l, two_theta, I (rel.)
1 0 1, 21.85, 38
1 0 2, 28.24, 100
1 1 0, 33.72, 51
1 0 3, 36.65, 11
2 0 1, 40.54, 9
2 0 2, 44.54, 29
1 1 4, 54.55, 39
3 -1 2, 57.01, 29
3 0 0, 60.31, 17
1 0 6, 67.83, 9